Entry 1:
Calculated powder X-ray diffraction pattern of Li12Mg for Cu Kα X-rays, from DFT lattice parameters and positions (PBE).

Atomic structure:
```
data_Li12Mg
_chemical_formula_sum 'Li12 Mg1'
_cell_length_a 7.2818
_cell_length_b 7.2818
_cell_length_c 7.2818
_cell_angle_alpha 90.00
_cell_angle_beta 90.00
_cell_angle_gamma 90.00
_symmetry_space_group_name_H-M 'P 1'
_symmetry_Int_Tables_number 1
loop_
_symmetry_equiv_pos_as_xyz
'x,y,z'
loop_
_atom_site_label
_atom_site_type_symbol
_atom_site_fract_x
_atom_site_fract_y
_atom_site_fract_z
_atom_site_occupancy
Li1 Li 0.0000 0.2479 0.5000 1
Li2 Li 0.0000 0.5000 0.2479 1
Li3 Li 0.0000 0.5000 0.7521 1
Li4 Li 0.0000 0.7521 0.5000 1
Li5 Li 0.2479 0.0000 0.5000 1
Li6 Li 0.2479 0.5000 0.0000 1
Li7 Li 0.5000 0.0000 0.2479 1
Li8 Li 0.5000 0.0000 0.7521 1
Li9 Li 0.5000 0.2479 0.0000 1
Li10 Li 0.5000 0.7521 0.0000 1
Li11 Li 0.7521 0.0000 0.5000 1
Li12 Li 0.7521 0.5000 0.0000 1
Mg1 Mg 0.0000 0.0000 0.0000 1
```

The 10 most intense peaks (2θ from 10° to 90°), by intensity:
| 2θ (°) | Rel. int. |
| --- | --- |
| 30.06 | 100 |
| 12.15 | 76 |
| 46.67 | 57 |
| 24.45 | 44 |
| 27.39 | 41 |
| 21.13 | 24 |
| 37.04 | 22 |
| 50.11 | 21 |
| 56.52 | 16 |
| 70.88 | 16 |

---

Entry 2:
Calculated powder X-ray diffraction pattern of Li7Mg8 for Cu Kα X-rays, from DFT lattice parameters and positions (PBE).

Atomic structure:
```
data_Li7Mg8
_chemical_formula_sum 'Li14 Mg16'
_cell_length_a 10.4803
_cell_length_b 10.4803
_cell_length_c 5.7558
_cell_angle_alpha 90.00
_cell_angle_beta 90.00
_cell_angle_gamma 90.00
_symmetry_space_group_name_H-M 'P 1'
_symmetry_Int_Tables_number 1
loop_
_symmetry_equiv_pos_as_xyz
'x,y,z'
loop_
_atom_site_label
_atom_site_type_symbol
_atom_site_fract_x
_atom_site_fract_y
_atom_site_fract_z
_atom_site_occupancy
Li1 Li 0.0000 0.0000 0.0000 1
Li2 Li 0.0613 0.2594 0.0000 1
Li3 Li 0.0939 0.0939 0.5000 1
Li4 Li 0.2406 0.5613 0.5000 1
Li5 Li 0.2594 0.0613 0.0000 1
Li6 Li 0.4061 0.5939 0.0000 1
Li7 Li 0.4387 0.7594 0.5000 1
Li8 Li 0.5000 0.5000 0.5000 1
Li9 Li 0.5613 0.2406 0.5000 1
Li10 Li 0.5939 0.4061 0.0000 1
Li11 Li 0.7406 0.9387 0.0000 1
Li12 Li 0.7594 0.4387 0.5000 1
Li13 Li 0.9061 0.9061 0.5000 1
Li14 Li 0.9387 0.7406 0.0000 1
Mg1 Mg 0.0355 0.3601 0.5000 1
Mg2 Mg 0.1399 0.5355 0.0000 1
Mg3 Mg 0.1866 0.8134 0.2505 1
Mg4 Mg 0.1866 0.8134 0.7495 1
Mg5 Mg 0.3134 0.3134 0.2495 1
Mg6 Mg 0.3134 0.3134 0.7505 1
Mg7 Mg 0.3601 0.0355 0.5000 1
Mg8 Mg 0.4645 0.8601 0.0000 1
Mg9 Mg 0.5355 0.1399 0.0000 1
Mg10 Mg 0.6399 0.9645 0.5000 1
Mg11 Mg 0.6866 0.6866 0.2495 1
Mg12 Mg 0.6866 0.6866 0.7505 1
Mg13 Mg 0.8134 0.1866 0.2505 1
Mg14 Mg 0.8134 0.1866 0.7495 1
Mg15 Mg 0.8601 0.4645 0.0000 1
Mg16 Mg 0.9645 0.6399 0.5000 1
```

The 10 most intense peaks (2θ from 10° to 90°), by intensity:
| 2θ (°) | Rel. int. |
| --- | --- |
| 35.31 | 100 |
| 36.64 | 63 |
| 35.59 | 62 |
| 36.37 | 61 |
| 18.93 | 60 |
| 38.73 | 56 |
| 11.94 | 47 |
| 29.92 | 39 |
| 39.67 | 31 |
| 60.76 | 29 |

---

Entry 3:
Calculated powder X-ray diffraction pattern of Li6Mg for Cu Kα X-rays, from DFT lattice parameters and positions (PBE).

Atomic structure:
```
data_Li6Mg
_chemical_formula_sum 'Li6 Mg1'
_cell_length_a 7.4240
_cell_length_b 7.4240
_cell_length_c 7.4240
_cell_angle_alpha 118.18
_cell_angle_beta 118.18
_cell_angle_gamma 118.18
_symmetry_space_group_name_H-M 'P 1'
_symmetry_Int_Tables_number 1
loop_
_symmetry_equiv_pos_as_xyz
'x,y,z'
loop_
_atom_site_label
_atom_site_type_symbol
_atom_site_fract_x
_atom_site_fract_y
_atom_site_fract_z
_atom_site_occupancy
Li1 Li 0.1166 0.8275 0.6872 1
Li2 Li 0.1725 0.3129 0.8834 1
Li3 Li 0.3128 0.8834 0.1725 1
Li4 Li 0.6872 0.1166 0.8275 1
Li5 Li 0.8275 0.6872 0.1166 1
Li6 Li 0.8834 0.1725 0.3129 1
Mg1 Mg 0.5000 0.5000 0.5000 1
```

The 10 most intense peaks (2θ from 10° to 90°), by intensity:
| 2θ (°) | Rel. int. |
| --- | --- |
| 13.90 | 100 |
| 36.69 | 76 |
| 37.35 | 70 |
| 24.20 | 27 |
| 53.36 | 23 |
| 66.94 | 22 |
| 28.02 | 20 |
| 33.78 | 15 |
| 41.99 | 12 |
| 67.37 | 12 |

---

Entry 4:
Calculated powder X-ray diffraction pattern of Li15Mg for Cu Kα X-rays, from DFT lattice parameters and positions (PBE).

Atomic structure:
```
data_Li15Mg
_chemical_formula_sum 'Li15 Mg1'
_cell_length_a 6.1103
_cell_length_b 6.1103
_cell_length_c 9.9648
_cell_angle_alpha 90.00
_cell_angle_beta 90.00
_cell_angle_gamma 120.00
_symmetry_space_group_name_H-M 'P 1'
_symmetry_Int_Tables_number 1
loop_
_symmetry_equiv_pos_as_xyz
'x,y,z'
loop_
_atom_site_label
_atom_site_type_symbol
_atom_site_fract_x
_atom_site_fract_y
_atom_site_fract_z
_atom_site_occupancy
Li1 Li 0.0000 0.0000 0.0000 1
Li2 Li 0.9996 0.4998 0.0000 1
Li3 Li 0.3333 0.6667 0.2520 1
Li4 Li 0.3333 0.6667 0.7480 1
Li5 Li 0.3336 0.1668 0.2500 1
Li6 Li 0.3336 0.1668 0.7500 1
Li7 Li 0.5002 0.0004 0.0000 1
Li8 Li 0.5002 0.4998 0.0000 1
Li9 Li 0.5007 0.0015 0.5000 1
Li10 Li 0.5007 0.4993 0.5000 1
Li11 Li 0.8332 0.1668 0.2500 1
Li12 Li 0.8332 0.1668 0.7500 1
Li13 Li 0.8332 0.6664 0.2500 1
Li14 Li 0.8332 0.6664 0.7500 1
Li15 Li 0.9985 0.4993 0.5000 1
Mg1 Mg 0.0000 0.0000 0.5000 1
```

The 10 most intense peaks (2θ from 10° to 90°), by intensity:
| 2θ (°) | Rel. int. |
| --- | --- |
| 38.53 | 100 |
| 18.99 | 34 |
| 33.88 | 26 |
| 36.05 | 26 |
| 16.75 | 23 |
| 66.46 | 22 |
| 72.60 | 19 |
| 24.54 | 18 |
| 60.62 | 17 |
| 50.31 | 17 |

---

Entry 5:
Calculated powder X-ray diffraction pattern of LiMg for Cu Kα X-rays, from DFT lattice parameters and positions (PBE).

Atomic structure:
```
data_LiMg
_chemical_formula_sum 'Li6 Mg6'
_cell_length_a 5.0057
_cell_length_b 9.1583
_cell_length_c 5.4820
_cell_angle_alpha 90.00
_cell_angle_beta 90.00
_cell_angle_gamma 90.00
_symmetry_space_group_name_H-M 'P 1'
_symmetry_Int_Tables_number 1
loop_
_symmetry_equiv_pos_as_xyz
'x,y,z'
loop_
_atom_site_label
_atom_site_type_symbol
_atom_site_fract_x
_atom_site_fract_y
_atom_site_fract_z
_atom_site_occupancy
Li1 Li 0.0000 0.0000 0.0000 1
Li2 Li 0.0000 0.5000 0.5000 1
Li3 Li 0.5000 0.1654 0.1847 1
Li4 Li 0.5000 0.3346 0.6847 1
Li5 Li 0.5000 0.6654 0.6847 1
Li6 Li 0.5000 0.8346 0.1847 1
Mg1 Mg 0.0000 0.1698 0.4955 1
Mg2 Mg 0.0000 0.3302 0.9955 1
Mg3 Mg 0.0000 0.6698 0.9955 1
Mg4 Mg 0.0000 0.8302 0.4955 1
Mg5 Mg 0.5000 0.0000 0.6883 1
Mg6 Mg 0.5000 0.5000 0.1883 1
```

The 10 most intense peaks (2θ from 10° to 90°), by intensity:
| 2θ (°) | Rel. int. |
| --- | --- |
| 38.24 | 100 |
| 37.41 | 59 |
| 18.87 | 51 |
| 35.88 | 38 |
| 26.38 | 38 |
| 33.60 | 32 |
| 25.99 | 23 |
| 49.97 | 20 |
| 58.90 | 20 |
| 70.93 | 18 |

---

Entry 6:
Calculated powder X-ray diffraction pattern of LiMg for Cu Kα X-rays, from DFT lattice parameters and positions (PBE).

Atomic structure:
```
data_LiMg
_chemical_formula_sum 'Li6 Mg6'
_cell_length_a 9.0917
_cell_length_b 5.4876
_cell_length_c 5.7565
_cell_angle_alpha 90.00
_cell_angle_beta 118.81
_cell_angle_gamma 90.00
_symmetry_space_group_name_H-M 'P 1'
_symmetry_Int_Tables_number 1
loop_
_symmetry_equiv_pos_as_xyz
'x,y,z'
loop_
_atom_site_label
_atom_site_type_symbol
_atom_site_fract_x
_atom_site_fract_y
_atom_site_fract_z
_atom_site_occupancy
Li1 Li 0.0000 0.0000 0.0000 1
Li2 Li 0.1617 0.3073 0.4956 1
Li3 Li 0.3383 0.8073 0.5044 1
Li4 Li 0.5000 0.5000 0.0000 1
Li5 Li 0.6617 0.8073 0.4956 1
Li6 Li 0.8383 0.3073 0.5044 1
Mg1 Mg 0.0000 0.8078 0.5000 1
Mg2 Mg 0.1699 0.4973 0.0075 1
Mg3 Mg 0.3301 0.9973 0.9925 1
Mg4 Mg 0.5000 0.3078 0.5000 1
Mg5 Mg 0.6699 0.9973 0.0075 1
Mg6 Mg 0.8301 0.4973 0.9925 1
```

The 10 most intense peaks (2θ from 10° to 90°), by intensity:
| 2θ (°) | Rel. int. |
| --- | --- |
| 37.31 | 100 |
| 37.63 | 78 |
| 39.09 | 70 |
| 35.60 | 65 |
| 22.54 | 64 |
| 20.71 | 54 |
| 33.82 | 53 |
| 19.64 | 36 |
| 59.00 | 28 |
| 39.88 | 26 |

---

Entry 7:
Calculated powder X-ray diffraction pattern of Li12Mg for Cu Kα X-rays, from DFT lattice parameters and positions (PBE).

Atomic structure:
```
data_Li12Mg
_chemical_formula_sum 'Li12 Mg1'
_cell_length_a 7.7827
_cell_length_b 7.7827
_cell_length_c 7.7827
_cell_angle_alpha 60.00
_cell_angle_beta 60.00
_cell_angle_gamma 60.00
_symmetry_space_group_name_H-M 'P 1'
_symmetry_Int_Tables_number 1
loop_
_symmetry_equiv_pos_as_xyz
'x,y,z'
loop_
_atom_site_label
_atom_site_type_symbol
_atom_site_fract_x
_atom_site_fract_y
_atom_site_fract_z
_atom_site_occupancy
Li1 Li 0.0000 0.0000 0.3440 1
Li2 Li 0.0000 0.0000 0.6560 1
Li3 Li 0.0000 0.3440 0.0000 1
Li4 Li 0.0000 0.3440 0.6560 1
Li5 Li 0.0000 0.6560 0.0000 1
Li6 Li 0.0000 0.6560 0.3440 1
Li7 Li 0.3440 0.0000 0.0000 1
Li8 Li 0.3440 0.0000 0.6560 1
Li9 Li 0.3440 0.6560 0.0000 1
Li10 Li 0.6560 0.0000 0.0000 1
Li11 Li 0.6560 0.0000 0.3440 1
Li12 Li 0.6560 0.3440 0.0000 1
Mg1 Mg 0.5000 0.5000 0.5000 1
```

The 10 most intense peaks (2θ from 10° to 90°), by intensity:
| 2θ (°) | Rel. int. |
| --- | --- |
| 26.87 | 100 |
| 48.96 | 40 |
| 28.08 | 36 |
| 49.70 | 35 |
| 40.14 | 33 |
| 16.11 | 30 |
| 65.10 | 22 |
| 72.93 | 19 |
| 35.55 | 17 |
| 79.30 | 12 |

---

Entry 8:
Calculated powder X-ray diffraction pattern of Li7Mg6 for Cu Kα X-rays, from DFT lattice parameters and positions (PBE).

Atomic structure:
```
data_Li7Mg6
_chemical_formula_sum 'Li7 Mg6'
_cell_length_a 10.5051
_cell_length_b 10.5051
_cell_length_c 10.5051
_cell_angle_alpha 30.36
_cell_angle_beta 30.36
_cell_angle_gamma 30.36
_symmetry_space_group_name_H-M 'P 1'
_symmetry_Int_Tables_number 1
loop_
_symmetry_equiv_pos_as_xyz
'x,y,z'
loop_
_atom_site_label
_atom_site_type_symbol
_atom_site_fract_x
_atom_site_fract_y
_atom_site_fract_z
_atom_site_occupancy
Li1 Li 0.0000 0.0000 0.0000 1
Li2 Li 0.0932 0.0932 0.5836 1
Li3 Li 0.0932 0.5836 0.0932 1
Li4 Li 0.4164 0.9068 0.9068 1
Li5 Li 0.5836 0.0932 0.0932 1
Li6 Li 0.9068 0.4164 0.9068 1
Li7 Li 0.9068 0.9068 0.4164 1
Mg1 Mg 0.1656 0.1656 0.1656 1
Mg2 Mg 0.3489 0.3489 0.3489 1
Mg3 Mg 0.4519 0.4519 0.4519 1
Mg4 Mg 0.5481 0.5481 0.5481 1
Mg5 Mg 0.6511 0.6511 0.6511 1
Mg6 Mg 0.8344 0.8344 0.8344 1
```

The 10 most intense peaks (2θ from 10° to 90°), by intensity:
| 2θ (°) | Rel. int. |
| --- | --- |
| 32.55 | 100 |
| 35.32 | 65 |
| 37.30 | 57 |
| 37.95 | 55 |
| 18.86 | 28 |
| 59.88 | 26 |
| 17.72 | 22 |
| 58.08 | 18 |
| 61.70 | 18 |
| 68.18 | 17 |

---

Entry 9:
Calculated powder X-ray diffraction pattern of Li3Mg for Cu Kα X-rays, from DFT lattice parameters and positions (PBE).

Atomic structure:
```
data_Li3Mg
_chemical_formula_sum 'Li18 Mg6'
_cell_length_a 8.2377
_cell_length_b 8.2377
_cell_length_c 8.4465
_cell_angle_alpha 90.00
_cell_angle_beta 90.00
_cell_angle_gamma 120.00
_symmetry_space_group_name_H-M 'P 1'
_symmetry_Int_Tables_number 1
loop_
_symmetry_equiv_pos_as_xyz
'x,y,z'
loop_
_atom_site_label
_atom_site_type_symbol
_atom_site_fract_x
_atom_site_fract_y
_atom_site_fract_z
_atom_site_occupancy
Li1 Li 0.0000 0.0000 0.1122 1
Li2 Li 0.0000 0.0000 0.6122 1
Li3 Li 0.0000 0.2691 0.3274 1
Li4 Li 0.0000 0.3180 0.0000 1
Li5 Li 0.0000 0.6820 0.5000 1
Li6 Li 0.0000 0.7309 0.8274 1
Li7 Li 0.2691 0.0000 0.3274 1
Li8 Li 0.2691 0.2691 0.8274 1
Li9 Li 0.3180 0.0000 0.0000 1
Li10 Li 0.3180 0.3180 0.5000 1
Li11 Li 0.3333 0.6667 0.3861 1
Li12 Li 0.3333 0.6667 0.8861 1
Li13 Li 0.6667 0.3333 0.3861 1
Li14 Li 0.6667 0.3333 0.8861 1
Li15 Li 0.6820 0.0000 0.5000 1
Li16 Li 0.6820 0.6820 0.0000 1
Li17 Li 0.7309 0.0000 0.8274 1
Li18 Li 0.7309 0.7309 0.3274 1
Mg1 Mg 0.0000 0.3770 0.6597 1
Mg2 Mg 0.0000 0.6230 0.1597 1
Mg3 Mg 0.3770 0.0000 0.6597 1
Mg4 Mg 0.3770 0.3770 0.1597 1
Mg5 Mg 0.6230 0.0000 0.1597 1
Mg6 Mg 0.6230 0.6230 0.6597 1
```

The 10 most intense peaks (2θ from 10° to 90°), by intensity:
| 2θ (°) | Rel. int. |
| --- | --- |
| 24.04 | 100 |
| 38.74 | 85 |
| 37.83 | 61 |
| 21.58 | 33 |
| 34.93 | 33 |
| 21.04 | 32 |
| 32.87 | 29 |
| 30.31 | 29 |
| 47.18 | 21 |
| 55.26 | 18 |

---

Entry 10:
Calculated powder X-ray diffraction pattern of Li3Mg5 for Cu Kα X-rays, from DFT lattice parameters and positions (PBE).

Atomic structure:
```
data_Li3Mg5
_chemical_formula_sum 'Li6 Mg10'
_cell_length_a 6.3976
_cell_length_b 6.3976
_cell_length_c 8.2966
_cell_angle_alpha 90.00
_cell_angle_beta 90.00
_cell_angle_gamma 90.00
_symmetry_space_group_name_H-M 'P 1'
_symmetry_Int_Tables_number 1
loop_
_symmetry_equiv_pos_as_xyz
'x,y,z'
loop_
_atom_site_label
_atom_site_type_symbol
_atom_site_fract_x
_atom_site_fract_y
_atom_site_fract_z
_atom_site_occupancy
Li1 Li 0.0000 0.0000 0.0000 1
Li2 Li 0.0000 0.5000 0.0000 1
Li3 Li 0.0000 0.5000 0.5000 1
Li4 Li 0.5000 0.0000 0.0000 1
Li5 Li 0.5000 0.0000 0.5000 1
Li6 Li 0.5000 0.5000 0.5000 1
Mg1 Mg 0.0000 0.0000 0.5000 1
Mg2 Mg 0.2500 0.2500 0.2500 1
Mg3 Mg 0.2500 0.2500 0.7500 1
Mg4 Mg 0.2500 0.7500 0.2500 1
Mg5 Mg 0.2500 0.7500 0.7500 1
Mg6 Mg 0.5000 0.5000 0.0000 1
Mg7 Mg 0.7500 0.2500 0.2500 1
Mg8 Mg 0.7500 0.2500 0.7500 1
Mg9 Mg 0.7500 0.7500 0.2500 1
Mg10 Mg 0.7500 0.7500 0.7500 1
```

The 10 most intense peaks (2θ from 10° to 90°), by intensity:
| 2θ (°) | Rel. int. |
| --- | --- |
| 35.43 | 100 |
| 39.86 | 35 |
| 69.51 | 25 |
| 60.57 | 19 |
| 27.89 | 17 |
| 21.42 | 17 |
| 43.64 | 13 |
| 17.51 | 12 |
| 57.63 | 11 |
| 45.67 | 10 |

---

Entry 11:
Calculated powder X-ray diffraction pattern of Li7Mg4 for Cu Kα X-rays, from DFT lattice parameters and positions (PBE).

Atomic structure:
```
data_Li7Mg4
_chemical_formula_sum 'Li7 Mg4'
_cell_length_a 9.5222
_cell_length_b 9.5222
_cell_length_c 3.0949
_cell_angle_alpha 90.00
_cell_angle_beta 90.00
_cell_angle_gamma 120.00
_symmetry_space_group_name_H-M 'P 1'
_symmetry_Int_Tables_number 1
loop_
_symmetry_equiv_pos_as_xyz
'x,y,z'
loop_
_atom_site_label
_atom_site_type_symbol
_atom_site_fract_x
_atom_site_fract_y
_atom_site_fract_z
_atom_site_occupancy
Li1 Li 0.0000 0.0000 0.0000 1
Li2 Li 0.1812 0.3624 0.5000 1
Li3 Li 0.1812 0.8188 0.5000 1
Li4 Li 0.5193 0.0387 0.0000 1
Li5 Li 0.5193 0.4807 0.0000 1
Li6 Li 0.6376 0.8188 0.5000 1
Li7 Li 0.9613 0.4807 0.0000 1
Mg1 Mg 0.3220 0.1610 0.5000 1
Mg2 Mg 0.3333 0.6667 0.0000 1
Mg3 Mg 0.8390 0.1610 0.5000 1
Mg4 Mg 0.8390 0.6780 0.5000 1
```

The 10 most intense peaks (2θ from 10° to 90°), by intensity:
| 2θ (°) | Rel. int. |
| --- | --- |
| 21.55 | 100 |
| 37.79 | 55 |
| 41.10 | 30 |
| 36.29 | 26 |
| 34.57 | 25 |
| 30.86 | 23 |
| 43.92 | 15 |
| 72.91 | 14 |
| 44.06 | 13 |
| 59.30 | 12 |

---

Entry 12:
Calculated powder X-ray diffraction pattern of Li5Mg2 for Cu Kα X-rays, from DFT lattice parameters and positions (PBE).

Atomic structure:
```
data_Li5Mg2
_chemical_formula_sum 'Li5 Mg2'
_cell_length_a 7.5847
_cell_length_b 7.5847
_cell_length_c 7.5847
_cell_angle_alpha 37.41
_cell_angle_beta 37.41
_cell_angle_gamma 37.41
_symmetry_space_group_name_H-M 'P 1'
_symmetry_Int_Tables_number 1
loop_
_symmetry_equiv_pos_as_xyz
'x,y,z'
loop_
_atom_site_label
_atom_site_type_symbol
_atom_site_fract_x
_atom_site_fract_y
_atom_site_fract_z
_atom_site_occupancy
Li1 Li 0.0000 0.0000 0.0000 1
Li2 Li 0.2828 0.2828 0.2828 1
Li3 Li 0.4294 0.4294 0.4294 1
Li4 Li 0.5706 0.5706 0.5706 1
Li5 Li 0.7171 0.7171 0.7171 1
Mg1 Mg 0.1391 0.1391 0.1391 1
Mg2 Mg 0.8609 0.8609 0.8609 1
```

The 10 most intense peaks (2θ from 10° to 90°), by intensity:
| 2θ (°) | Rel. int. |
| --- | --- |
| 12.56 | 100 |
| 36.61 | 94 |
| 36.95 | 93 |
| 27.07 | 54 |
| 21.50 | 47 |
| 39.18 | 35 |
| 66.36 | 32 |
| 53.00 | 32 |
| 65.71 | 19 |
| 66.58 | 16 |